[1]
The following is a theoretical X-ray powder pattern of Y3Ga2Ni6. It was derived from the PBE geometry in the Materials Project, using copper Kα.
Kinematic intensities with the Lorentz-polarization factor, no thermal factor.

Peak list (10 most intense, 10° ≤ 2θ ≤ 90°, in order of rising 2θ)
d 6.298, 2θ 14.06, rel. 13
d 2.817, 2θ 31.77, rel. 19
d 2.571, 2θ 34.89, rel. 28
d 2.381, 2θ 37.79, rel. 28
d 2.227, 2θ 40.51, rel. 20
d 2.099, 2θ 43.09, rel. 100
d 1.992, 2θ 45.54, rel. 15
d 1.445, 2θ 64.49, rel. 14
d 1.343, 2θ 70.07, rel. 19
d 1.212, 2θ 78.99, rel. 24

Atomic structure:
```
22
Lattice="-4.4536 4.4536 4.4536 4.4536 -4.4536 4.4536 4.4536 4.4536 -4.4536" Properties=species:S:1:pos:R:3 pbc="T T T"
Y 2.5830 0.0000 0.0000
Y 6.3243 0.0000 0.0000
Y 0.0000 2.5830 0.0000
Y 0.0000 0.0000 2.5830
Y 0.0000 6.3243 0.0000
Y 0.0000 0.0000 6.3243
Ga 2.2268 2.2268 -2.2268
Ga 2.2268 -2.2268 2.2268
Ga -2.2268 2.2268 2.2268
Ga 2.2268 2.2268 2.2268
Ni 4.4536 1.4597 -1.4597
Ni 4.4536 -1.4597 1.4597
Ni 4.4536 1.4597 1.4597
Ni 1.4597 4.4536 -1.4597
Ni 2.9939 2.9939 0.0000
Ni 1.4597 -1.4597 4.4536
Ni 2.9939 0.0000 2.9939
Ni -1.4597 4.4536 1.4597
Ni 1.4597 4.4536 1.4597
Ni -1.4597 1.4597 4.4536
Ni 1.4597 1.4597 4.4536
Ni 0.0000 2.9939 2.9939
```

***

[2]
The following is a theoretical X-ray powder pattern of InCo2N2. It was derived from the PBE geometry in the Materials Project, using copper Kα.
Kinematic intensities with the Lorentz-polarization factor, no thermal factor.

Peak list (10 most intense, 10° ≤ 2θ ≤ 90°, in order of rising 2θ)
d 3.772, 2θ 23.58, rel. 32
d 2.712, 2θ 33.03, rel. 100
d 2.664, 2θ 33.65, rel. 10
d 2.515, 2θ 35.70, rel. 25
d 2.103, 2θ 43.02, rel. 15
d 2.079, 2θ 43.54, rel. 28
d 1.975, 2θ 45.95, rel. 33
d 1.946, 2θ 46.69, rel. 16
d 1.581, 2θ 58.39, rel. 10
d 1.575, 2θ 58.60, rel. 19

Atomic structure:
```
5
Lattice="2.7260 -1.5805 0.0000 2.7260 1.5805 0.0000 -1.9523 0.0000 7.5447" Properties=species:S:1:pos:R:3 pbc="T T T"
In 0.0000 0.0000 0.0000
Co -0.0708 0.0000 2.9567
Co 3.5705 0.0000 4.5880
N -0.0651 0.0000 4.9418
N 3.5647 0.0000 2.6029
```

***

[3]
The following is a theoretical X-ray powder pattern of Ba6Lu2Al4O15. It was derived from the PBE geometry in the Materials Project, using copper Kα.
Kinematic intensities with the Lorentz-polarization factor, no thermal factor.

Peak list (10 most intense, 10° ≤ 2θ ≤ 90°, in order of rising 2θ)
d 6.070, 2θ 14.59, rel. 20
d 4.597, 2θ 19.31, rel. 18
d 3.061, 2θ 29.17, rel. 53
d 2.953, 2θ 30.26, rel. 52
d 2.921, 2θ 30.61, rel. 100
d 2.864, 2θ 31.23, rel. 94
d 2.126, 2θ 42.53, rel. 49
d 1.973, 2θ 46.00, rel. 22
d 1.752, 2θ 52.22, rel. 22
d 1.688, 2θ 54.35, rel. 19

Atomic structure:
```
54
Lattice="7.8947 0.0000 0.0000 0.0000 5.9070 0.0000 -0.5127 0.0000 18.3677" Properties=species:S:1:pos:R:3 pbc="T T T"
Ba -0.1282 1.0246 4.5919
Ba -0.3845 4.8824 13.7757
Ba -0.4623 1.5132 16.8917
Ba -0.2059 4.3938 7.7079
Ba 3.2521 1.4599 16.7337
Ba 3.5085 4.4471 7.5499
Ba 3.8192 1.3049 4.5919
Ba 3.5628 4.6021 13.7757
Ba 3.8734 1.4599 10.8178
Ba 4.1298 4.4471 1.6340
Ba 7.5879 1.5132 10.6598
Ba 7.8442 4.3938 1.4760
Lu 1.9385 1.4409 1.6465
Lu 1.6821 4.4660 10.8303
Lu 5.6998 1.4409 7.5373
Lu 5.4435 4.4660 16.7212
Al 1.7664 1.4903 8.1727
Al 1.5100 4.4167 17.3566
Al 1.8238 1.6064 13.4364
Al 2.0802 4.3006 4.2525
Al 5.3018 1.6064 14.1151
Al 5.5581 4.3006 4.9313
Al 5.8719 1.4903 1.0111
Al 5.6156 4.4167 10.1949
O 0.0883 1.4984 7.5079
O -0.1680 4.4086 16.6918
O 1.0920 1.1069 14.9321
O 1.3484 4.8001 5.7482
O 1.7437 2.7608 3.4251
O 1.4874 3.1462 12.6090
O 1.6555 0.2738 12.2364
O 1.9118 5.6332 3.0526
O 1.8087 2.9390 9.2614
O 2.0650 2.9680 0.0776
O 1.8169 0.0389 9.2284
O 2.0733 5.8681 0.0446
O 3.3333 1.5199 7.2786
O 3.0769 4.3871 16.4624
O 3.5628 1.7114 13.7757
O 3.8192 4.1955 4.5919
O 4.3050 1.5199 1.9052
O 4.0487 4.3871 11.0891
O 5.3086 0.0389 18.3231
O 5.5650 5.8681 9.1393
O 5.3169 2.9390 18.2901
O 5.5733 2.9680 9.1063
O 5.4701 0.2738 15.3151
O 5.7265 5.6332 6.1312
O 5.8946 2.7608 5.7587
O 5.6382 3.1462 14.9425
O 6.0335 1.1069 12.6194
O 6.2899 4.8001 3.4356
O 7.5500 1.4984 1.6759
O 7.2936 4.4086 10.8597
```

***

[4]
The following is a theoretical X-ray powder pattern of LiCdN. It was derived from the PBE geometry in the Materials Project, using copper Kα.
Kinematic intensities with the Lorentz-polarization factor, no thermal factor.

Peak list (10 most intense, 10° ≤ 2θ ≤ 90°, in order of rising 2θ)
d 6.143, 2θ 14.42, rel. 100
d 4.031, 2θ 22.05, rel. 33
d 3.493, 2θ 25.50, rel. 66
d 2.820, 2θ 31.73, rel. 29
d 2.709, 2θ 33.06, rel. 17
d 2.564, 2θ 35.00, rel. 34
d 2.537, 2θ 35.38, rel. 33
d 2.436, 2θ 36.90, rel. 15
d 2.186, 2θ 41.30, rel. 27
d 2.080, 2θ 43.51, rel. 17

Atomic structure:
```
12
Lattice="8.5465 -2.0801 0.0000 8.5465 2.0801 0.0000 -1.9716 0.0000 6.1431" Properties=species:S:1:pos:R:3 pbc="T T T"
Li 0.7547 0.0000 0.6857
Li 0.7535 0.0000 5.9546
Li 14.3680 0.0000 0.1885
Li 14.3667 0.0000 5.4575
Cd 0.4337 0.0000 3.1637
Cd 3.5280 0.0000 4.1490
Cd 11.5934 0.0000 1.9942
Cd 14.6877 0.0000 2.9794
N -0.8588 0.0000 4.8535
N 2.3614 0.0000 1.8869
N 12.7600 0.0000 4.2562
N 15.9803 0.0000 1.2896
```

***

[5]
The following is a theoretical X-ray powder pattern of PF5. It was derived from the PBE geometry in the Materials Project, using copper Kα.
Kinematic intensities with the Lorentz-polarization factor, no thermal factor.

Peak list (10 most intense, 10° ≤ 2θ ≤ 90°, in order of rising 2θ)
d 4.984, 2θ 17.80, rel. 38
d 3.927, 2θ 22.64, rel. 100
d 3.189, 2θ 27.98, rel. 11
d 2.878, 2θ 31.08, rel. 26
d 2.492, 2θ 36.04, rel. 26
d 2.321, 2θ 38.79, rel. 6
d 1.956, 2θ 46.43, rel. 13
d 1.807, 2θ 50.52, rel. 12
d 1.595, 2θ 57.82, rel. 7
d 1.439, 2θ 64.80, rel. 13

Atomic structure:
```
12
Lattice="5.7553 0.0000 0.0000 -2.8776 4.9842 0.0000 0.0000 0.0000 6.3782" Properties=species:S:1:pos:R:3 pbc="T T T"
P 0.0000 3.3228 1.5946
P 2.8776 1.6614 4.7837
F 0.0000 1.7628 1.5946
F -1.3510 4.1028 1.5946
F 0.0000 3.3228 3.2060
F 0.0000 3.3228 6.3613
F 1.5267 0.8814 4.7837
F 1.3510 4.1028 1.5946
F 2.8776 1.6614 0.0169
F 2.8776 1.6614 3.1722
F 4.2286 0.8814 4.7837
F 2.8776 3.2214 4.7837
```

***

[6]
The following is a theoretical X-ray powder pattern of NdBiAu2. It was derived from the PBE geometry in the Materials Project, using copper Kα.
Kinematic intensities with the Lorentz-polarization factor, no thermal factor.

Peak list (7 most intense, 10° ≤ 2θ ≤ 90°, in order of rising 2θ)
d 4.226, 2θ 21.02, rel. 1
d 2.588, 2θ 34.66, rel. 100
d 2.207, 2θ 40.89, rel. 1
d 1.830, 2θ 49.83, rel. 18
d 1.494, 2θ 62.12, rel. 38
d 1.294, 2θ 73.13, rel. 12
d 1.157, 2θ 83.53, rel. 17

Atomic structure:
```
4
Lattice="0.0000 3.6600 3.6600 3.6600 0.0000 3.6600 3.6600 3.6600 0.0000" Properties=species:S:1:pos:R:3 pbc="T T T"
Nd 0.0000 0.0000 0.0000
Bi 3.6600 3.6600 3.6600
Au 1.8300 1.8300 1.8300
Au 5.4899 5.4899 5.4899
```

***

[7]
The following is a theoretical X-ray powder pattern of NbCl5. It was derived from the PBE geometry in the Materials Project, using copper Kα.
Kinematic intensities with the Lorentz-polarization factor, no thermal factor.

Peak list (10 most intense, 10° ≤ 2θ ≤ 90°, in order of rising 2θ)
d 6.704, 2θ 13.21, rel. 33
d 6.643, 2θ 13.33, rel. 100
d 6.049, 2θ 14.64, rel. 57
d 5.273, 2θ 16.81, rel. 27
d 5.229, 2θ 16.96, rel. 62
d 4.554, 2θ 19.49, rel. 68
d 3.981, 2θ 22.33, rel. 28
d 2.697, 2θ 33.21, rel. 47
d 2.687, 2θ 33.35, rel. 96
d 1.904, 2θ 47.76, rel. 32

Atomic structure:
```
24
Lattice="8.4468 0.0000 0.0000 0.0000 10.7581 0.0000 -8.3527 0.0000 8.5714" Properties=species:S:1:pos:R:3 pbc="T T T"
Nb -0.4162 1.4508 1.3504
Nb -4.5926 3.9282 5.6361
Nb 4.6867 6.8299 2.9353
Nb 0.5103 9.3072 7.2210
Cl -4.5266 1.6667 5.3125
Cl -0.3502 3.7123 1.0269
Cl -4.4825 6.5048 5.4123
Cl -0.3061 9.6323 1.1266
Cl -1.5790 6.6123 3.7295
Cl -5.7554 9.5248 8.0152
Cl -1.0527 1.2663 3.5367
Cl -5.2291 4.1128 7.8223
Cl 1.8581 1.3008 1.8500
Cl -2.3183 4.0783 6.1357
Cl 2.4124 6.6798 2.4356
Cl -1.7640 9.4573 6.7213
Cl 5.3232 6.6453 0.7490
Cl 1.1468 9.4918 5.0347
Cl 5.8495 1.2332 0.5562
Cl 1.6731 4.1458 4.8418
Cl 0.4002 1.1257 7.4447
Cl 4.5766 4.2533 3.1591
Cl 0.4443 7.0458 7.5445
Cl 4.6207 9.0914 3.2588
```

***

[8]
The following is a theoretical X-ray powder pattern of Mg6AlB. It was derived from the PBE geometry in the Materials Project, using copper Kα.
Kinematic intensities with the Lorentz-polarization factor, no thermal factor.

Peak list (10 most intense, 10° ≤ 2θ ≤ 90°, in order of rising 2θ)
d 2.671, 2θ 33.56, rel. 26
d 2.618, 2θ 34.25, rel. 12
d 2.373, 2θ 37.91, rel. 35
d 2.328, 2θ 38.69, rel. 100
d 2.292, 2θ 39.31, rel. 47
d 1.774, 2θ 51.51, rel. 14
d 1.521, 2θ 60.89, rel. 17
d 1.361, 2θ 68.99, rel. 17
d 1.285, 2θ 73.70, rel. 13
d 1.281, 2θ 74.01, rel. 17

Atomic structure:
```
8
Lattice="4.7465 0.0000 0.0000 0.0000 3.1051 5.2355 0.0000 -3.1051 5.2355" Properties=species:S:1:pos:R:3 pbc="T T T"
Mg 0.0000 0.0000 0.0000
Mg 0.0000 -1.5998 7.7181
Mg 0.0000 0.0000 5.1821
Mg 0.0000 1.5998 7.7181
Mg 2.3733 -1.5518 4.2851
Mg 2.3733 1.5518 4.2851
Al 2.3733 0.0000 6.8974
B 2.3733 0.0000 1.6560
```

***

[9]
The following is a theoretical X-ray powder pattern of Ca3Tl2O6. It was derived from the PBE geometry in the Materials Project, using copper Kα.
Kinematic intensities with the Lorentz-polarization factor, no thermal factor.

Peak list (10 most intense, 10° ≤ 2θ ≤ 90°, in order of rising 2θ)
d 6.747, 2θ 13.12, rel. 83
d 5.014, 2θ 17.69, rel. 67
d 3.458, 2θ 25.77, rel. 33
d 3.375, 2θ 26.41, rel. 42
d 3.019, 2θ 29.59, rel. 39
d 2.888, 2θ 30.97, rel. 100
d 2.847, 2θ 31.42, rel. 28
d 2.799, 2θ 31.97, rel. 68
d 2.415, 2θ 37.23, rel. 76
d 2.194, 2θ 41.14, rel. 30

Atomic structure:
```
44
Lattice="11.3883 0.0000 0.0000 0.0000 16.7511 0.0000 0.0000 0.0000 3.3754" Properties=species:S:1:pos:R:3 pbc="T T T"
Ca 1.1863 2.4346 0.0000
Ca 1.5187 9.0435 0.0000
Ca 1.9520 12.9776 0.0000
Ca 3.7422 4.6020 0.0000
Ca 4.1755 0.6680 0.0000
Ca 4.5078 10.8101 0.0000
Ca 6.8805 5.9410 0.0000
Ca 7.2129 16.0831 0.0000
Ca 7.6462 12.1491 0.0000
Ca 9.4363 3.7735 0.0000
Ca 9.8696 7.7076 0.0000
Ca 10.2020 14.3165 0.0000
Tl 0.9657 5.8807 1.6877
Tl 1.5343 15.9884 1.6877
Tl 4.1598 7.6129 1.6877
Tl 4.7285 14.2563 1.6877
Tl 6.6598 2.4948 1.6877
Tl 7.2285 9.1383 1.6877
Tl 9.8540 0.7627 1.6877
Tl 10.4227 10.8704 1.6877
O 0.0000 0.0000 0.0000
O 0.0000 8.3756 1.6877
O 0.4945 11.1630 0.0000
O 0.6011 14.0681 1.6877
O 2.1863 3.9900 1.6877
O 2.4608 6.7720 0.0000
O 2.4988 1.1375 1.6877
O 3.1953 9.5131 1.6877
O 3.2333 15.1476 0.0000
O 3.5079 12.3655 1.6877
O 5.0930 5.6925 1.6877
O 5.1996 2.7875 0.0000
O 5.6942 0.0000 1.6877
O 5.6942 8.3756 0.0000
O 6.1887 13.9637 0.0000
O 6.2953 11.0586 1.6877
O 7.8805 4.3856 1.6877
O 8.1550 1.6035 0.0000
O 8.1930 7.2381 1.6877
O 8.8895 15.6136 1.6877
O 8.9275 9.9791 0.0000
O 9.2020 12.7611 1.6877
O 10.7872 2.6830 1.6877
O 10.8938 5.5881 0.0000
```

***

[10]
The following is a theoretical X-ray powder pattern of Li5Mg. It was derived from the PBE geometry in the Materials Project, using copper Kα.
Kinematic intensities with the Lorentz-polarization factor, no thermal factor.

Peak list (10 most intense, 10° ≤ 2θ ≤ 90°, in order of rising 2θ)
d 4.986, 2θ 17.79, rel. 26
d 4.567, 2θ 19.44, rel. 62
d 3.368, 2θ 26.47, rel. 58
d 2.636, 2θ 34.00, rel. 34
d 2.493, 2θ 36.03, rel. 26
d 2.331, 2θ 38.63, rel. 100
d 2.188, 2θ 41.26, rel. 17
d 1.811, 2θ 50.38, rel. 21
d 1.406, 2θ 66.50, rel. 19
d 1.299, 2θ 72.80, rel. 18

Atomic structure:
```
6
Lattice="5.2730 0.0000 0.0000 -2.6365 4.5665 0.0000 0.0000 0.0000 4.9860" Properties=species:S:1:pos:R:3 pbc="T T T"
Li -1.7538 3.0377 0.0000
Li 0.0000 3.0443 2.4930
Li 0.8827 1.5288 0.0000
Li 3.5076 0.0000 0.0000
Li 2.6365 1.5222 2.4930
Mg 0.0000 0.0000 2.4930
```